For Li4V5Cr2O12, the GGA+U geometry in the Materials Project gives the computed powder diffractogram in this record (a wavelength of 1.5418 Å).

Crystal structure
a b c (Å): 5.111 9.149 9.928
angles (deg): 90.00 101.94 90.00
Space group P2_1 (No. 4)
Inequivalent atoms, fractional coordinates:
Li: 0.004 0.000 0.256 x2
Li: 0.005 0.164 0.738 x2
Li: 0.259 0.160 0.498 x2
Li: 0.494 0.992 0.739 x2
V: 0.010 0.319 0.259 x2
V: 0.238 0.999 0.003 x2
V: 0.246 0.653 0.005 x2
V: 0.249 0.505 0.507 x2
V: 0.497 0.327 0.745 x2
Cr: 0.253 0.828 0.503 x2
Cr: 0.260 0.324 0.005 x2
O: 0.115 0.674 0.619 x2
O: 0.118 0.982 0.619 x2
O: 0.128 0.340 0.625 x2
O: 0.128 0.828 0.121 x2
O: 0.129 0.167 0.118 x2
O: 0.132 0.476 0.124 x2
O: 0.352 0.832 0.888 x2
O: 0.363 0.349 0.385 x2
O: 0.366 0.172 0.877 x2
O: 0.366 0.670 0.385 x2
O: 0.380 0.478 0.889 x2
O: 0.380 0.972 0.378 x2

Top 12 peaks for 10 to 90 degrees two-theta, in order of falling intensity:
- 2θ 42.13, intensity 100, (1 3 -3)
- 2θ 44.04, intensity 43, (2 0 2)
- 2θ 18.27, intensity 41, (0 0 2)
- 2θ 23.72, intensity 35, (1 1 1)
- 2θ 62.48, intensity 25, (3 3 -1)
- 2θ 19.40, intensity 24, (0 2 0)
- 2θ 62.68, intensity 24, (1 3 5)
- 2θ 36.69, intensity 16, (1 3 1)
- 2θ 60.74, intensity 13, (0 6 0)
- 2θ 61.46, intensity 13, (2 0 -6)
- 2θ 31.21, intensity 12, (1 1 -3)
- 2θ 20.64, intensity 11, (1 1 -1)

For Li4V3Cr5O16, the GGA+U geometry in the Materials Project gives the computed powder diffractogram in this record (a wavelength of 1.5418 Å).

Crystal structure
a b c (Å): 10.138 5.915 9.533
angles (deg): 90.00 90.81 90.00
Space group Cm (No. 8)
Inequivalent atoms, fractional coordinates:
Li: 0.000 0.000 0.000 x2
Li: 0.004 0.000 0.499 x2
Li: 0.170 0.500 0.604 x2
Li: 0.339 0.000 0.104 x2
V: 0.332 0.500 0.285 x2
V: 0.417 0.248 0.783 x4
Cr: 0.088 0.253 0.282 x4
Cr: 0.167 0.500 0.012 x2
Cr: 0.172 0.000 0.782 x2
Cr: 0.333 0.000 0.511 x2
O: 0.023 0.500 0.155 x2
O: 0.077 0.250 0.892 x4
O: 0.164 0.000 0.398 x2
O: 0.180 0.500 0.393 x2
O: 0.249 0.287 0.157 x4
O: 0.267 0.224 0.658 x4
O: 0.335 0.500 0.888 x2
O: 0.339 0.000 0.894 x2
O: 0.413 0.261 0.389 x4
O: 0.484 0.000 0.657 x2
O: 0.495 0.500 0.186 x2
O: 0.499 0.500 0.683 x2

Top 12 peaks for 10 to 90 degrees two-theta, in order of falling intensity:
- 2θ 18.62, intensity 100, (0 0 2)
- 2θ 19.68, intensity 91, (2 0 -1)
- 2θ 35.73, intensity 60, (0 2 2)
- 2θ 45.42, intensity 54, (4 0 -3)
- 2θ 19.77, intensity 53, (1 1 1)
- 2θ 63.41, intensity 43, (6 2 0)
- 2θ 36.51, intensity 37, (2 2 1)
- 2θ 60.37, intensity 35, (2 2 -5)
- 2θ 45.73, intensity 32, (2 2 3)
- 2θ 36.15, intensity 30, (3 1 2)
- 2θ 33.08, intensity 28, (2 0 -3)
- 2θ 25.47, intensity 28, (1 1 -2)